(1)
# NaCdF3
Calculated PXRD pattern, Cu Kα. Input: a GGA-PBE-relaxed structure.

Atomic structure:
```
data_NaCdF3
_space_group_name_H-M_alt 'C 1 c 1'
_space_group_IT_number 9
_cell_length_a 12.183
_cell_length_b 6.038
_cell_length_c 5.831
_cell_angle_alpha 90.00
_cell_angle_beta 91.74
_cell_angle_gamma 90.00
loop_
_space_group_symop_operation_xyz
'x,y,z'
'x,-y,z+1/2'
'x+1/2,y+1/2,z'
'x+1/2,-y+1/2,z+1/2'
loop_
_atom_site_label
_atom_site_fract_x
_atom_site_fract_y
_atom_site_fract_z
_atom_site_occupancy
Na1 0.000 0.247 0.000 1
Cd1 0.340 0.245 0.993 1
F1 0.171 0.231 0.927 1
F2 0.408 0.495 0.249 1
F3 0.418 0.003 0.742 1
```

Principal peaks in the range 10° ≤ 2θ ≤ 90°, low angle first:
2θ (°)	I/Imax	hkl
14.55	1000	2 0 0
22.27	715	1 1 -1
22.57	588	1 1 1
29.59	165	0 2 0
30.31	325	3 1 -1
30.99	307	3 1 1
43.14	295	0 2 2
54.47	142	6 2 0


(2)
# TbRh3C
Calculated PXRD pattern, Cu Kα. Input: a GGA-PBE-relaxed structure.

Atomic structure:
```
data_TbRh3C
_space_group_name_H-M_alt 'P m -3 m'
_space_group_IT_number 221
_space_group_name_Hall '-P 4 2 3'
_cell_length_a 4.190
_cell_length_b 4.190
_cell_length_c 4.190
_cell_angle_alpha 90.00
_cell_angle_beta 90.00
_cell_angle_gamma 90.00
loop_
_atom_site_label
_atom_site_fract_x
_atom_site_fract_y
_atom_site_fract_z
_atom_site_occupancy
Tb1 0.000 0.000 0.000 1
Rh1 0.000 0.500 0.500 1
C1 0.500 0.500 0.500 1
```

Principal peaks in the range 10° ≤ 2θ ≤ 90°, low angle first:
2θ (°)	I/Imax	hkl
21.20	20	1 0 0
30.16	47	1 1 0
37.17	1000	1 1 1
43.18	533	2 0 0
53.57	19	2 1 1
62.72	345	2 2 0
75.21	376	3 1 1
79.19	116	2 2 2